Entry 1:
ZrC4: simulated XRD peak list (λ = 1.5418 Å (Cu Kα)), based on DFT lattice parameters and positions (PBE).
Intensities are scaled so that the largest is 100.

Most intense lines, 5° ≤ 2θ ≤ 70°, most intense first:
d (Å)	Rel. int.	(hkl)
2.479	100.0	0 1 1
6.298	85.2	0 0 1
2.048	47.2	1 0 2
2.696	29.8	1 0 0
1.656	26.3	1 0 3
3.149	23.2	0 0 2
1.557	16.8	1 1 0
1.511	12.3	1 1 1
1.395	11.5	1 1 2
1.360	10.3	1 0 4

Atomic structure:
abc: 3.1134 3.1134 6.2981
angles: 90.00 90.00 120.00
Space group P-3m1 (No. 164)
One atom of each set of equivalent atoms:
1 Zr 0.0000 0.0000 0.0000 (multiplicity 1)
2 C 0.3333 0.6667 0.2262 (multiplicity 2)
3 C 0.3333 0.6667 0.4404 (multiplicity 2)

=====

Entry 2:
Tb13In2: simulated XRD peak list (λ = 1.5418 Å (Cu Kα)), based on DFT lattice parameters and positions (PBE).
Intensities are scaled so that the largest is 100.

Most intense lines, 5° ≤ 2θ ≤ 70°, most intense first:
d (Å)	Rel. int.	(hkl)
2.803	100.0	-2 1 1
2.729	46.8	0 3 2
2.815	45.2	1 -2 1
2.743	41.9	1 1 -2
2.872	40.1	1 1 3
1.582	18.3	-1 5 1
1.634	16.5	4 1 0
1.590	15.0	-2 4 3
2.063	14.5	3 0 2
1.917	14.5	1 4 0

Atomic structure:
abc: 6.7213 8.5884 8.9284
angles: 66.56 79.28 82.56
Space group P-1 (No. 2)
One atom of each set of equivalent atoms:
1 Tb 0.0000 0.0000 0.0000 (multiplicity 1)
2 Tb 0.1214 0.4802 0.7376 (multiplicity 2)
3 Tb 0.1987 0.2266 0.1558 (multiplicity 2)
4 Tb 0.2581 0.9367 0.5839 (multiplicity 2)
5 Tb 0.3051 0.6533 0.9755 (multiplicity 2)
6 Tb 0.3657 0.4127 0.3920 (multiplicity 2)
7 Tb 0.4898 0.1448 0.7954 (multiplicity 2)
8 In 0.0594 0.7698 0.3805 (multiplicity 2)

=====

Entry 3:
B2C3: simulated XRD peak list (λ = 1.5418 Å (Cu Kα)), based on DFT lattice parameters and positions (PBE).
Intensities are scaled so that the largest is 100.

Most intense lines, 5° ≤ 2θ ≤ 70°, most intense first:
d (Å)	Rel. int.	(hkl)
2.116	100.0	0 1 5
11.301	43.8	0 0 3
2.260	30.6	0 0 15
1.349	23.5	0 1 20
5.650	8.2	0 0 6
1.883	2.5	0 0 18
2.024	1.8	1 0 7
1.972	1.4	0 1 8
1.486	0.9	0 1 17
1.614	0.8	0 0 21

Atomic structure:
abc: 2.5718 2.5718 33.9019
angles: 90.00 90.00 120.00
Space group R3m (No. 160, hexagonal axes)
One atom of each set of equivalent atoms:
1 B 0.0000 0.0000 0.0000 (multiplicity 3)
2 B 0.0000 0.0000 0.1618 (multiplicity 3)
3 B 0.0000 0.0000 0.3994 (multiplicity 3)
4 B 0.0000 0.0000 0.7989 (multiplicity 3)
5 C 0.0000 0.0000 0.2088 (multiplicity 3)
6 C 0.0000 0.0000 0.3516 (multiplicity 3)
7 C 0.0000 0.0000 0.5565 (multiplicity 3)
8 C 0.0000 0.0000 0.6039 (multiplicity 3)
9 C 0.0000 0.0000 0.7535 (multiplicity 3)
10 C 0.0000 0.0000 0.9506 (multiplicity 3)

=====

Entry 4:
DyTh2Hg5: simulated XRD peak list (λ = 1.5418 Å (Cu Kα)), based on DFT lattice parameters and positions (PBE).
Intensities are scaled so that the largest is 100.

Most intense lines, 5° ≤ 2θ ≤ 70°, most intense first:
d (Å)	Rel. int.	(hkl)
2.659	100.0	1 1 4
2.577	47.5	2 0 0
1.503	35.8	3 1 4
1.822	17.3	2 2 0
1.552	16.9	2 0 8
1.943	8.6	0 0 8
3.300	2.1	1 1 2
1.827	1.4	2 0 6
1.852	1.1	2 1 5
1.382	1.1	2 1 9

Atomic structure:
abc: 5.1544 5.1544 15.5480
angles: 90.00 90.00 90.00
Space group I4/mmm (No. 139)
One atom of each set of equivalent atoms:
1 Dy 0.0000 0.0000 0.0000 (multiplicity 2)
2 Th 0.0000 0.0000 0.2614 (multiplicity 4)
3 Hg 0.0000 0.0000 0.5000 (multiplicity 2)
4 Hg 0.0000 0.5000 0.1159 (multiplicity 8)

=====

Entry 5:
K2GaHgF6: simulated XRD peak list (λ = 1.5418 Å (Cu Kα)), based on DFT lattice parameters and positions (PBE).
Intensities are scaled so that the largest is 100.

Most intense lines, 5° ≤ 2θ ≤ 70°, most intense first:
d (Å)	Rel. int.	(hkl)
3.149	100.0	2 2 0
4.453	60.8	2 0 0
2.227	38.4	4 0 0
1.818	38.2	4 2 2
1.992	26.9	4 2 0
1.575	22.6	4 4 0
2.686	22.4	3 1 1
1.408	19.9	6 2 0
5.142	19.2	1 1 1
2.043	15.5	3 3 1

Atomic structure:
abc: 8.9069 8.9069 8.9069
angles: 90.00 90.00 90.00
Space group Fm-3m (No. 225)
One atom of each set of equivalent atoms:
1 K 0.2500 0.2500 0.2500 (multiplicity 8)
2 Ga 0.0000 0.0000 0.0000 (multiplicity 4)
3 Hg 0.0000 0.0000 0.5000 (multiplicity 4)
4 F 0.0000 0.0000 0.2166 (multiplicity 24)

=====

Entry 6:
Dy5Pb3N: simulated XRD peak list (λ = 1.5418 Å (Cu Kα)), based on DFT lattice parameters and positions (PBE).
Intensities are scaled so that the largest is 100.

Most intense lines, 5° ≤ 2θ ≤ 70°, most intense first:
d (Å)	Rel. int.	(hkl)
2.691	100.0	2 1 1
2.631	54.1	1 1 2
1.743	28.0	2 1 3
1.409	27.3	5 0 2
2.959	26.4	2 1 0
2.609	21.7	3 0 0
3.236	20.2	0 0 2
2.133	19.8	2 2 1
2.494	13.8	2 0 2
1.853	13.3	2 2 2

Atomic structure:
abc: 9.0387 9.0387 6.4721
angles: 90.00 90.00 120.00
Space group P6_3/mcm (No. 193)
One atom of each set of equivalent atoms:
1 Dy 0.0000 0.2115 0.2500 (multiplicity 6)
2 Dy 0.3333 0.6667 0.0000 (multiplicity 4)
3 Pb 0.0000 0.4014 0.7500 (multiplicity 6)
4 N 0.0000 0.0000 0.0000 (multiplicity 2)

=====

- Number 5 is which compound?
  K2GaHgF6